# 1
Diffraction record for Ca2BeC. The X-ray diffraction stick pattern is theoretical, not measured: it uses the GGA-PBE geometry in Alexandria and Cu Kα X-rays.
Peak positions follow from Bragg's law for the DFT cell and can differ from measured ones.

Cell and atoms:
```
data_Ca2BeC
_chemical_formula_sum 'Ca8 Be4 C4'
_symmetry_space_group_name_H-M 'I -4 2 d'
_symmetry_Int_Tables_number 122
_symmetry_space_group_name_Hall 'I -4 2bw'
_cell_length_a 7.333
_cell_length_b 7.333
_cell_length_c 6.617
_cell_angle_alpha 90.00
_cell_angle_beta 90.00
_cell_angle_gamma 90.00
loop_
_atom_site_label
_atom_site_fract_x
_atom_site_fract_y
_atom_site_fract_z
Ca1 0.181 0.750 0.125
Be1 0.000 0.000 0.500
C1 0.000 0.000 0.000
```

The 12 most intense peaks (10 to 80 degrees two-theta), sorted by position:
hkl, d [Å], 2θ (°), I (rel.)
1 0 1, 4.913, 18.06, 330
2 0 0, 3.667, 24.27, 448
2 1 1, 2.938, 30.42, 468
1 1 2, 2.789, 32.09, 1000
2 2 0, 2.593, 34.60, 334
3 0 1, 2.293, 39.29, 127
3 2 1, 1.944, 46.72, 300
3 1 2, 1.899, 47.90, 257
4 0 0, 1.831, 49.79, 175
4 1 1, 1.718, 53.34, 143
2 0 4, 1.508, 61.50, 149
4 3 1, 1.432, 65.15, 136

# 2
Diffraction record for CeOs2. The X-ray diffraction stick pattern is theoretical, not measured: it uses the GGA-PBE geometry in Alexandria and Cu Kα X-rays.
Peak positions follow from Bragg's law for the DFT cell and can differ from measured ones.

Cell and atoms:
abc: 7.630 7.630 7.630
angles: 90.00 90.00 90.00
Space group Fd-3m (No. 227, origin choice 2)
Symmetry-distinct sites (fractional):
Ce 0.125 0.125 0.125 [8 per cell]
Os 0.000 0.000 0.500 [16 per cell]

The 11 most intense peaks (10 to 80 degrees two-theta), sorted by position:
hkl, d [Å], 2θ (°), I (rel.)
1 1 1, 4.405, 20.16, 165
2 2 0, 2.697, 33.21, 187
3 1 1, 2.300, 39.16, 1000
2 2 2, 2.202, 40.98, 504
4 0 0, 1.907, 47.68, 98
3 3 1, 1.750, 52.26, 43
4 2 2, 1.557, 59.34, 70
5 1 1, 1.468, 63.34, 328
4 4 0, 1.349, 69.72, 300
5 3 1, 1.290, 73.42, 32
6 2 0, 1.206, 79.44, 30

# 3
Diffraction record for Ba3U2S2N4. The X-ray diffraction stick pattern is theoretical, not measured: it uses the GGA-PBE geometry in Alexandria and Cu Kα X-rays.
Peak positions follow from Bragg's law for the DFT cell and can differ from measured ones.

Cell and atoms:
```
data_Ba3U2S2N4
_chemical_formula_sum 'Ba6 U4 S4 N8'
_symmetry_space_group_name_H-M 'I 4/m m m'
_symmetry_Int_Tables_number 139
_symmetry_space_group_name_Hall '-I 4 2'
_cell_length_a 4.381
_cell_length_b 4.381
_cell_length_c 25.018
_cell_angle_alpha 90.00
_cell_angle_beta 90.00
_cell_angle_gamma 90.00
loop_
_atom_site_label
_atom_site_fract_x
_atom_site_fract_y
_atom_site_fract_z
Ba1 0.000 0.000 0.000
Ba2 0.000 0.000 0.174
U1 0.000 0.000 0.413
S1 0.000 0.000 0.306
N1 0.000 0.500 0.082
```

The 12 most intense peaks (10 to 80 degrees two-theta), sorted by position:
hkl, d [Å], 2θ (°), I (rel.)
0 0 4, 6.255, 14.16, 135
1 0 5, 3.296, 27.05, 1000
1 1 0, 3.098, 28.82, 723
1 0 7, 2.770, 32.32, 534
2 0 0, 2.191, 41.21, 349
2 1 5, 1.825, 49.99, 386
1 1 12, 1.730, 52.94, 188
2 1 7, 1.718, 53.32, 238
2 2 0, 1.549, 59.69, 116
2 0 12, 1.510, 61.39, 153
1 0 17, 1.395, 67.09, 136
3 1 0, 1.386, 67.62, 136

# 4
Diffraction record for La2Mg5Ga4. The X-ray diffraction stick pattern is theoretical, not measured: it uses the GGA-PBE geometry in Alexandria and Cu Kα X-rays.
Peak positions follow from Bragg's law for the DFT cell and can differ from measured ones.

Cell and atoms:
```
data_La2Mg5Ga4
_chemical_formula_sum 'La8 Mg20 Ga16'
_symmetry_space_group_name_H-M 'F m m m'
_symmetry_Int_Tables_number 69
_symmetry_space_group_name_Hall '-F 2 2'
_cell_length_a 6.255
_cell_length_b 11.138
_cell_length_c 15.255
_cell_angle_alpha 90.00
_cell_angle_beta 90.00
_cell_angle_gamma 90.00
loop_
_atom_site_label
_atom_site_fract_x
_atom_site_fract_y
_atom_site_fract_z
La1 0.000 0.000 0.145
Mg1 0.000 0.000 0.500
Mg2 0.250 0.250 0.000
Mg3 0.250 0.250 0.250
Ga1 0.000 0.116 0.351
```

The 12 most intense peaks (10 to 80 degrees two-theta), sorted by position:
hkl, d [Å], 2θ (°), I (rel.)
0 0 2, 7.628, 11.60, 256
0 2 0, 5.569, 15.91, 401
0 0 4, 3.814, 23.32, 396
0 2 4, 3.147, 28.36, 470
2 0 0, 3.126, 28.55, 919
2 2 0, 2.727, 32.84, 511
1 3 3, 2.704, 33.13, 1000
2 0 4, 2.418, 37.18, 600
1 5 1, 2.079, 43.53, 223
1 5 3, 1.940, 46.84, 534
1 3 7, 1.800, 50.72, 262
3 3 3, 1.712, 53.53, 251

# 5
Diffraction record for Mg2CdAg7Sb2. The X-ray diffraction stick pattern is theoretical, not measured: it uses the GGA-PBE geometry in Alexandria and Cu Kα X-rays.
Peak positions follow from Bragg's law for the DFT cell and can differ from measured ones.

Cell and atoms:
```
data_Mg2CdAg7Sb2
_chemical_formula_sum 'Mg4 Cd2 Ag14 Sb4'
_symmetry_space_group_name_H-M 'C 1 2/m 1'
_symmetry_Int_Tables_number 12
_cell_length_a 5.972
_cell_length_b 6.057
_cell_length_c 13.446
_cell_angle_alpha 90.00
_cell_angle_beta 90.08
_cell_angle_gamma 90.00
loop_
_symmetry_equiv_pos_as_xyz
'x,y,z'
'-x,-y,-z'
'-x,y,-z'
'x,-y,z'
'x+1/2,y+1/2,z'
'-x+1/2,-y+1/2,-z'
'-x+1/2,y+1/2,-z'
'x+1/2,-y+1/2,z'
loop_
_atom_site_label
_atom_site_fract_x
_atom_site_fract_y
_atom_site_fract_z
Mg1 0.000 0.000 0.184
Cd1 0.000 0.500 0.500
Ag1 0.000 0.000 0.500
Ag2 0.241 0.000 0.000
Ag3 0.250 0.250 0.344
Sb1 0.000 0.500 0.184
```

The 12 most intense peaks (10 to 80 degrees two-theta), sorted by position:
hkl, d [Å], 2θ (°), I (rel.)
0 2 1, 2.955, 30.25, 158
0 2 2, 2.761, 32.42, 180
0 2 3, 2.509, 35.78, 391
2 0 3, 2.485, 36.15, 1000
0 2 4, 2.250, 40.07, 303
0 0 6, 2.241, 40.24, 325
2 2 0, 2.126, 42.51, 256
2 2 1, 2.100, 43.07, 298
2 2 6, 1.542, 59.97, 134
2 2 7, 1.425, 65.48, 191
2 4 3, 1.293, 73.19, 235
4 0 -6, 1.244, 76.61, 127

# 6
Diffraction record for TbEr2Tl2Ag2. The X-ray diffraction stick pattern is theoretical, not measured: it uses the GGA-PBE geometry in Alexandria and Cu Kα X-rays.
Peak positions follow from Bragg's law for the DFT cell and can differ from measured ones.

Cell and atoms:
```
data_TbEr2Tl2Ag2
_chemical_formula_sum 'Tb3 Er6 Tl6 Ag6'
_symmetry_space_group_name_H-M 'R -3 m'
_symmetry_Int_Tables_number 166
_symmetry_space_group_name_Hall '-R 3 2"'
_cell_length_a 4.8942
_cell_length_b 4.8942
_cell_length_c 25.6662
_cell_angle_alpha 90.00
_cell_angle_beta 90.00
_cell_angle_gamma 120.00
loop_
_atom_site_label
_atom_site_fract_x
_atom_site_fract_y
_atom_site_fract_z
Tb1 0.0000 0.0000 0.0000
Er1 0.0000 0.0000 0.1329
Tl1 0.0000 0.0000 0.2652
Ag1 0.0000 0.0000 0.4361
```

The 12 most intense peaks (10 to 80 degrees two-theta), sorted by position:
hkl, d [Å], 2θ (°), I (rel.)
1 0 4, 3.537, 25.18, 81
1 0 7, 2.773, 32.28, 960
0 1 8, 2.558, 35.08, 253
1 1 0, 2.447, 36.73, 1000
1 0 10, 2.195, 41.11, 83
0 2 7, 1.835, 49.69, 286
2 0 8, 1.768, 51.69, 87
2 1 7, 1.468, 63.36, 275
1 2 8, 1.433, 65.08, 89
3 0 0, 1.413, 66.14, 179
1 1 15, 1.402, 66.70, 132
2 2 0, 1.224, 78.11, 112

# 7
Diffraction record for V2HRu6. The X-ray diffraction stick pattern is theoretical, not measured: it uses the GGA-PBE geometry in Alexandria and Cu Kα X-rays.
Peak positions follow from Bragg's law for the DFT cell and can differ from measured ones.

Cell and atoms:
```
data_V2HRu6
_chemical_formula_sum 'V8 H4 Ru24'
_symmetry_space_group_name_H-M 'C m c m'
_symmetry_Int_Tables_number 63
_symmetry_space_group_name_Hall '-C 2c 2'
_cell_length_a 7.153
_cell_length_b 11.208
_cell_length_c 5.632
_cell_angle_alpha 90.00
_cell_angle_beta 90.00
_cell_angle_gamma 90.00
loop_
_atom_site_label
_atom_site_fract_x
_atom_site_fract_y
_atom_site_fract_z
V1 0.000 0.144 0.000
H1 0.000 0.496 0.250
Ru1 0.000 0.376 0.504
Ru2 0.206 0.000 0.250
Ru3 0.250 0.250 0.250
```

The 12 most intense peaks (10 to 80 degrees two-theta), sorted by position:
hkl, d [Å], 2θ (°), I (rel.)
1 3 0, 3.312, 26.92, 73
1 1 2, 2.552, 35.17, 126
3 1 0, 2.332, 38.60, 142
2 0 2, 2.213, 40.78, 1000
2 4 0, 2.206, 40.91, 960
0 4 2, 1.986, 45.67, 763
4 0 0, 1.788, 51.07, 198
3 3 2, 1.636, 56.23, 71
3 5 2, 1.413, 66.14, 81
0 0 4, 1.408, 66.39, 123
0 8 0, 1.401, 66.77, 109
4 4 2, 1.329, 70.91, 291

# 8
Diffraction record for Sr4PtAu. The X-ray diffraction stick pattern is theoretical, not measured: it uses the GGA-PBE geometry in Alexandria and Cu Kα X-rays.
Peak positions follow from Bragg's law for the DFT cell and can differ from measured ones.

Cell and atoms:
```
data_Sr4PtAu
_chemical_formula_sum 'Sr16 Pt4 Au4'
_symmetry_space_group_name_H-M 'C 1 2/m 1'
_symmetry_Int_Tables_number 12
_cell_length_a 10.657
_cell_length_b 10.655
_cell_length_c 9.242
_cell_angle_alpha 90.00
_cell_angle_beta 125.02
_cell_angle_gamma 90.00
loop_
_symmetry_equiv_pos_as_xyz
'x,y,z'
'-x,-y,-z'
'-x,y,-z'
'x,-y,z'
'x+1/2,y+1/2,z'
'-x+1/2,-y+1/2,-z'
'-x+1/2,y+1/2,-z'
'x+1/2,-y+1/2,z'
loop_
_atom_site_label
_atom_site_fract_x
_atom_site_fract_y
_atom_site_fract_z
Sr1 0.121 0.249 0.242
Sr2 0.128 0.500 0.758
Sr3 0.130 0.000 0.758
Pt1 0.000 0.000 0.000
Pt2 0.000 0.500 0.000
Au1 0.000 0.250 0.500
```

The 12 most intense peaks (10 to 80 degrees two-theta), sorted by position:
hkl, d [Å], 2θ (°), I (rel.)
2 0 -2, 4.357, 20.38, 939
2 2 1, 2.670, 33.57, 1000
0 4 0, 2.664, 33.64, 499
0 2 3, 2.281, 39.51, 134
2 4 0, 2.275, 39.62, 221
2 4 -2, 2.271, 39.68, 176
0 0 4, 1.892, 48.09, 90
4 4 -2, 1.884, 48.32, 180
4 2 -5, 1.730, 52.93, 135
6 2 -1, 1.541, 60.01, 233
2 6 1, 1.539, 60.14, 280
0 8 0, 1.333, 70.68, 116